Entry 1:
Calculated powder X-ray diffraction pattern of CsCdSbF6 for copper Kα, from a structure optimized by DFT (PBE).
Kinematic intensities with the Lorentz-polarization factor, no thermal factor.

Main lines, most intense first (10° ≤ 2θ ≤ 90°):
2θ (°)  I_rel
22.08  1000
22.29  495
28.82  389
41.53  305
14.57  253
41.72  241
29.20  196
47.93  186
29.38  152
42.10  146

Crystal structure
a = 6.080 Å, b = 6.117 Å, c = 6.194 Å
α = 60.43°, β = 89.81°, γ = 89.48°
Positions (direct):
Cs (0.000, 0.000, 0.000)
Cd (0.473, 0.335, 0.330)
Sb (0.500, 0.667, 0.667)
F (0.281, 0.438, 0.964)
F (0.282, 0.971, 0.600)
F (0.283, 0.604, 0.436)
F (0.648, 0.010, 0.334)
F (0.654, 0.337, 0.643)
F (0.657, 0.644, 0.020)

***

Entry 2:
Calculated powder X-ray diffraction pattern of Sr4TeBr6 for copper Kα, from a structure optimized by DFT (PBE).
Kinematic intensities with the Lorentz-polarization factor, no thermal factor.

Main lines, most intense first (10° ≤ 2θ ≤ 90°):
2θ (°)  I_rel
33.94  1000
20.59  391
28.01  234
60.74  193
40.03  173
48.76  138
22.26  117
40.97  114
60.04  111
44.57  104

Crystal structure
a = 10.565 Å, b = 10.565 Å, c = 7.470 Å
α = 90.00°, β = 90.00°, γ = 90.00°
Positions (direct):
Sr (0.012, 0.250, 0.040)
Sr (0.250, 0.012, 0.540)
Sr (0.250, 0.488, 0.540)
Sr (0.488, 0.250, 0.040)
Sr (0.512, 0.750, 0.960)
Sr (0.750, 0.512, 0.460)
Sr (0.750, 0.988, 0.460)
Sr (0.988, 0.750, 0.960)
Te (0.250, 0.750, 0.750)
Te (0.750, 0.250, 0.250)
Br (0.036, 0.536, 0.250)
Br (0.036, 0.964, 0.250)
Br (0.250, 0.250, 0.292)
Br (0.250, 0.250, 0.792)
Br (0.464, 0.536, 0.250)
Br (0.464, 0.964, 0.250)
Br (0.536, 0.036, 0.750)
Br (0.536, 0.464, 0.750)
Br (0.750, 0.750, 0.208)
Br (0.750, 0.750, 0.708)
Br (0.964, 0.036, 0.750)
Br (0.964, 0.464, 0.750)

***

Entry 3:
Calculated powder X-ray diffraction pattern of BaNaHg2Sb for copper Kα, from a structure optimized by DFT (PBE).
Kinematic intensities with the Lorentz-polarization factor, no thermal factor.

Main lines, most intense first (10° ≤ 2θ ≤ 90°):
2θ (°)  I_rel
29.38  1000
20.05  500
37.35  439
37.65  423
26.66  422
27.32  371
36.46  365
54.90  322
38.45  315
54.03  236

Crystal structure
a = 7.629 Å, b = 7.629 Å, c = 7.629 Å
α = 144.25°, β = 142.31°, γ = 52.92°
Positions (direct):
Ba (0.000, 0.000, 0.000)
Na (0.238, 0.738, 0.500)
Hg (0.382, 0.382, 0.000)
Hg (0.753, 0.253, 0.500)
Sb (0.597, 0.597, 0.000)

***

Entry 4:
Calculated powder X-ray diffraction pattern of CsRb2OsO4 for copper Kα, from a structure optimized by DFT (PBE).
Kinematic intensities with the Lorentz-polarization factor, no thermal factor.

Main lines, most intense first (10° ≤ 2θ ≤ 90°):
2θ (°)  I_rel
29.39  1000
26.61  491
48.74  441
37.99  283
17.33  241
60.97  159
53.76  150
76.36  135
63.41  125
80.36  118

Crystal structure
a = 6.176 Å, b = 6.176 Å, c = 6.176 Å
α = 114.30°, β = 114.30°, γ = 100.19°
Positions (direct):
Cs (0.000, 0.000, 0.000)
Rb (0.500, 0.500, 0.000)
Rb (0.750, 0.250, 0.500)
Os (0.250, 0.750, 0.500)
O (0.054, 0.554, 0.107)
O (0.054, 0.946, 0.500)
O (0.446, 0.554, 0.500)
O (0.446, 0.946, 0.893)

***

Entry 5:
Calculated powder X-ray diffraction pattern of Cs2UHgSe6 for copper Kα, from a structure optimized by DFT (PBE).
Kinematic intensities with the Lorentz-polarization factor, no thermal factor.

Main lines, most intense first (10° ≤ 2θ ≤ 90°):
2θ (°)  I_rel
22.79  1000
46.56  731
32.42  675
40.03  469
16.06  423
32.53  334
57.90  253
77.27  219
63.00  175
86.33  169

Crystal structure
a = 7.812 Å, b = 7.812 Å, c = 13.495 Å
α = 90.00°, β = 125.34°, γ = 90.00°
Positions (direct):
Cs (0.250, 0.000, 0.250)
Cs (0.250, 0.500, 0.750)
Cs (0.750, 0.000, 0.750)
Cs (0.750, 0.500, 0.250)
U (0.000, 0.000, 0.500)
U (0.000, 0.500, 0.000)
Hg (0.500, 0.000, 0.000)
Hg (0.500, 0.500, 0.500)
Se (0.241, 0.241, 0.500)
Se (0.241, 0.259, 0.000)
Se (0.242, 0.001, 0.742)
Se (0.242, 0.499, 0.242)
Se (0.242, 0.741, 0.000)
Se (0.242, 0.759, 0.500)
Se (0.758, 0.241, 0.500)
Se (0.758, 0.259, 0.000)
Se (0.758, 0.501, 0.758)
Se (0.758, 0.999, 0.258)
Se (0.759, 0.741, 0.000)
Se (0.759, 0.759, 0.500)

***

Entry 6:
Calculated powder X-ray diffraction pattern of DyPb2IO4 for copper Kα, from a structure optimized by DFT (PBE).
Kinematic intensities with the Lorentz-polarization factor, no thermal factor.

Main lines, most intense first (10° ≤ 2θ ≤ 90°):
2θ (°)  I_rel
29.12  1000
54.77  349
31.61  329
50.00  265
45.31  180
80.84  115
62.88  114
60.37  112
87.18  111
37.71  105

Crystal structure
a = 4.003 Å, b = 4.003 Å, c = 9.542 Å
α = 90.00°, β = 90.00°, γ = 90.00°
Positions (direct):
Dy (0.000, 0.000, 0.000)
Pb (0.500, 0.500, 0.254)
Pb (0.500, 0.500, 0.746)
I (0.000, 0.000, 0.500)
O (0.000, 0.500, 0.138)
O (0.000, 0.500, 0.862)
O (0.500, 0.000, 0.138)
O (0.500, 0.000, 0.862)

***

Entry 7:
Calculated powder X-ray diffraction pattern of Tm12Al5Zn2 for copper Kα, from a structure optimized by DFT (PBE).
Kinematic intensities with the Lorentz-polarization factor, no thermal factor.

Main lines, most intense first (10° ≤ 2θ ≤ 90°):
2θ (°)  I_rel
33.92  1000
24.59  457
38.68  393
34.72  367
34.04  354
32.46  342
24.78  302
26.02  292
35.67  291
33.56  243

Crystal structure
a = 8.477 Å, b = 8.477 Å, c = 7.984 Å
α = 92.83°, β = 92.83°, γ = 58.68°
Positions (direct):
Tm (0.038, 0.038, 0.206)
Tm (0.080, 0.633, 0.088)
Tm (0.140, 0.524, 0.647)
Tm (0.367, 0.920, 0.912)
Tm (0.448, 0.448, 0.339)
Tm (0.476, 0.860, 0.353)
Tm (0.524, 0.140, 0.647)
Tm (0.552, 0.552, 0.661)
Tm (0.633, 0.080, 0.088)
Tm (0.860, 0.476, 0.353)
Tm (0.920, 0.367, 0.912)
Tm (0.962, 0.962, 0.794)
Al (0.146, 0.146, 0.576)
Al (0.245, 0.245, 0.234)
Al (0.500, 0.500, 0.000)
Al (0.755, 0.755, 0.766)
Al (0.854, 0.854, 0.424)
Zn (0.190, 0.810, 0.500)
Zn (0.810, 0.190, 0.500)

***

Entry 8:
Calculated powder X-ray diffraction pattern of Te2PtBr2 for copper Kα, from a structure optimized by DFT (PBE).
Kinematic intensities with the Lorentz-polarization factor, no thermal factor.

Main lines, most intense first (10° ≤ 2θ ≤ 90°):
2θ (°)  I_rel
15.94  1000
48.86  326
36.71  300
27.11  253
29.77  223
32.19  167
44.13  131
30.96  124
20.99  112
57.17  106

Crystal structure
a = 10.450 Å, b = 10.450 Å, c = 10.450 Å
α = 147.59°, β = 56.08°, γ = 135.55°
Positions (direct):
Te (0.089, 0.075, 0.164)
Te (0.411, 0.575, 0.985)
Te (0.589, 0.425, 0.015)
Te (0.911, 0.925, 0.836)
Pt (0.250, 0.250, 0.000)
Pt (0.750, 0.750, 0.000)
Br (0.180, 0.742, 0.923)
Br (0.320, 0.242, 0.562)
Br (0.680, 0.758, 0.438)
Br (0.820, 0.258, 0.077)

***

Entry 9:
Calculated powder X-ray diffraction pattern of Ce3PSe3 for copper Kα, from a structure optimized by DFT (PBE).
Kinematic intensities with the Lorentz-polarization factor, no thermal factor.

Main lines, most intense first (10° ≤ 2θ ≤ 90°):
2θ (°)  I_rel
33.60  1000
26.54  712
35.10  489
23.83  489
32.38  348
26.69  339
24.18  311
43.42  277
40.14  272
43.52  254

Crystal structure
a = 7.550 Å, b = 7.550 Å, c = 7.562 Å
α = 90.52°, β = 90.52°, γ = 111.42°
Positions (direct):
Ce (0.064, 0.064, 0.215)
Ce (0.199, 0.513, 0.707)
Ce (0.487, 0.801, 0.293)
Ce (0.513, 0.199, 0.707)
Ce (0.801, 0.487, 0.293)
Ce (0.936, 0.936, 0.785)
P (0.251, 0.251, 0.912)
P (0.749, 0.749, 0.088)
Se (0.164, 0.836, 0.500)
Se (0.217, 0.783, 0.000)
Se (0.371, 0.371, 0.361)
Se (0.629, 0.629, 0.639)
Se (0.783, 0.217, 0.000)
Se (0.836, 0.164, 0.500)

***

Entry 10:
Calculated powder X-ray diffraction pattern of HoHfMgTc for copper Kα, from a structure optimized by DFT (PBE).
Kinematic intensities with the Lorentz-polarization factor, no thermal factor.

Main lines, most intense first (10° ≤ 2θ ≤ 90°):
2θ (°)  I_rel
36.92  1000
66.51  355
25.87  257
53.20  175
78.58  111
60.08  105
45.63  78
22.36  66
84.39  53
43.59  33

Crystal structure
a = 4.870 Å, b = 4.870 Å, c = 4.870 Å
α = 60.00°, β = 60.00°, γ = 60.00°
Positions (direct):
Ho (0.000, 0.000, 0.000)
Hf (0.500, 0.500, 0.500)
Mg (0.250, 0.250, 0.250)
Tc (0.750, 0.750, 0.750)

***

Entry 11:
Calculated powder X-ray diffraction pattern of Th6TcBi3 for copper Kα, from a structure optimized by DFT (PBE).
Kinematic intensities with the Lorentz-polarization factor, no thermal factor.

Main lines, most intense first (10° ≤ 2θ ≤ 90°):
2θ (°)  I_rel
33.30  1000
31.01  559
29.61  485
29.11  478
31.14  428
25.75  417
31.75  399
34.17  363
29.32  349
33.56  330

Crystal structure
a = 6.371 Å, b = 8.906 Å, c = 12.829 Å
α = 90.00°, β = 118.52°, γ = 90.00°
Positions (direct):
Th (0.050, 0.158, 0.440)
Th (0.050, 0.342, 0.940)
Th (0.364, 0.696, 0.445)
Th (0.364, 0.804, 0.945)
Th (0.411, 0.032, 0.271)
Th (0.411, 0.468, 0.771)
Th (0.589, 0.532, 0.229)
Th (0.589, 0.968, 0.729)
Th (0.636, 0.196, 0.055)
Th (0.636, 0.304, 0.555)
Th (0.950, 0.658, 0.060)
Th (0.950, 0.842, 0.560)
Tc (0.500, 0.000, 0.500)
Tc (0.500, 0.500, 0.000)
Bi (0.000, 0.000, 0.000)
Bi (0.000, 0.500, 0.500)
Bi (0.144, 0.126, 0.753)
Bi (0.144, 0.374, 0.253)
Bi (0.856, 0.626, 0.747)
Bi (0.856, 0.874, 0.247)

***

Entry 12:
Calculated powder X-ray diffraction pattern of Li5Mg2Pb2 for copper Kα, from a structure optimized by DFT (PBE).
Kinematic intensities with the Lorentz-polarization factor, no thermal factor.

Main lines, most intense first (10° ≤ 2θ ≤ 90°):
2θ (°)  I_rel
23.38  1000
37.59  360
36.79  317
20.41  263
42.43  252
29.44  250
44.05  196
58.70  169
66.80  137
20.99  133

Crystal structure
a = 8.704 Å, b = 4.888 Å, c = 4.888 Å
α = 59.91°, β = 90.00°, γ = 90.00°
Positions (direct):
Li (0.000, 0.000, 0.000)
Li (0.160, 0.329, 0.329)
Li (0.333, 0.658, 0.658)
Li (0.667, 0.658, 0.658)
Li (0.840, 0.329, 0.329)
Mg (0.320, 0.991, 0.991)
Mg (0.680, 0.991, 0.991)
Pb (0.000, 0.668, 0.668)
Pb (0.500, 0.323, 0.323)